[1]
Starting from a structure optimized by DFT (GGA+U), the X-ray diffraction stick pattern of LiMn2C4O12 was simulated for Cu Kα (λ = 1.5418 Å).
No peak broadening, texture or thermal motion is included.

Main lines, sorted by position (2θ from 10° to 80°):
d = 4.811 Å, 18.4 deg, I 38, hkl 1 0 0
d = 4.768 Å, 18.6 deg, I 82, hkl 1 1 0
d = 4.689 Å, 18.9 deg, I 27, hkl 0 1 -1
d = 4.641 Å, 19.1 deg, I 100, hkl 1 1 1
d = 3.150 Å, 28.3 deg, I 9, hkl 1 -1 0
d = 3.090 Å, 28.9 deg, I 13, hkl 1 2 1
d = 2.928 Å, 30.5 deg, I 14, hkl 0 2 0
d = 2.764 Å, 32.4 deg, I 21, hkl 0 2 1
d = 2.735 Å, 32.7 deg, I 14, hkl 0 2 -1
d = 2.625 Å, 34.2 deg, I 10, hkl 2 1 0

Cell and atoms:
Unit cell a=5.4502 b=6.4414 c=8.3029 alpha=82.79 beta=74.44 gamma=65.40
Space group P1 (No. 1)
Symmetry-distinct sites (fractional):
Li1 0.0000 0.0000 0.0000 [1 per cell]
Mn1 0.3362 0.0278 0.3537 [1 per cell]
Mn2 0.6353 0.5056 0.8400 [1 per cell]
C1 0.0585 0.1333 0.6315 [1 per cell]
C2 0.4443 0.3998 0.1216 [1 per cell]
C3 0.4940 0.8921 0.0472 [1 per cell]
C4 0.6143 0.6270 0.5552 [1 per cell]
O1 0.2525 0.9480 0.1579 [1 per cell]
O2 0.3103 0.4645 0.0033 [1 per cell]
O3 0.3161 0.1065 0.5850 [1 per cell]
O4 0.3529 0.3379 0.2663 [1 per cell]
O5 0.4188 0.5852 0.6667 [1 per cell]
O6 0.5042 0.8252 0.9026 [1 per cell]
O7 0.5980 0.6995 0.4088 [1 per cell]
O8 0.6876 0.9180 0.0854 [1 per cell]
O9 0.6943 0.4042 0.0714 [1 per cell]
O10 0.8314 0.5850 0.6137 [1 per cell]
O11 0.9155 0.1874 0.7850 [1 per cell]
O12 0.9578 0.0976 0.5193 [1 per cell]

---

[2]
Starting from a structure optimized by DFT (GGA+U), the X-ray diffraction stick pattern of Li2VF7 was simulated for Cu Kα (λ = 1.5418 Å).
No peak broadening, texture or thermal motion is included.

Main lines, sorted by position (2θ from 10° to 80°):
d = 4.978 Å, 17.8 deg, I 100, hkl 0 1 1
d = 4.758 Å, 18.6 deg, I 60, hkl 1 0 1
d = 4.308 Å, 20.6 deg, I 55, hkl 1 1 0
d = 4.040 Å, 22.0 deg, I 22, hkl 0 0 2
d = 2.946 Å, 30.3 deg, I 13, hkl 2 0 0
d = 2.379 Å, 37.8 deg, I 13, hkl 2 0 2
d = 2.154 Å, 41.9 deg, I 35, hkl 2 2 0
d = 2.020 Å, 44.9 deg, I 16, hkl 0 0 4
d = 1.676 Å, 54.8 deg, I 14, hkl 2 3 1
d = 1.473 Å, 63.1 deg, I 24, hkl 4 0 0

Cell and atoms:
Unit cell a=5.8876 b=6.3197 c=8.0804 alpha=90.00 beta=90.00 gamma=90.00
Space group Imm2 (No. 44)
Symmetry-distinct sites (fractional):
Li1 0.0000 0.2416 0.0000 [4 per cell]
V1 0.0000 0.5000 0.6278 [2 per cell]
F1 0.0000 0.0000 0.8934 [2 per cell]
F2 0.0000 0.5000 0.4118 [2 per cell]
F3 0.0000 0.5000 0.8667 [2 per cell]
F4 0.2190 0.2966 0.6370 [8 per cell]

---

[3]
Starting from a structure optimized by DFT (GGA+U), the X-ray diffraction stick pattern of KVBiWO6 was simulated for Cu Kα (λ = 1.5418 Å).
No peak broadening, texture or thermal motion is included.

Main lines, sorted by position (2θ from 10° to 80°):
d = 4.637 Å, 19.1 deg, I 50, hkl 1 1 1
d = 2.840 Å, 31.5 deg, I 100, hkl 2 2 0
d = 2.422 Å, 37.1 deg, I 29, hkl 3 1 1
d = 2.008 Å, 45.2 deg, I 30, hkl 4 0 0
d = 1.843 Å, 49.5 deg, I 13, hkl 3 3 1
d = 1.640 Å, 56.1 deg, I 40, hkl 4 2 2
d = 1.546 Å, 59.8 deg, I 11, hkl 5 1 1
d = 1.420 Å, 65.8 deg, I 19, hkl 4 4 0
d = 1.358 Å, 69.2 deg, I 11, hkl 5 3 1
d = 1.270 Å, 74.7 deg, I 17, hkl 6 2 0

Cell and atoms:
Unit cell a=8.0322 b=8.0322 c=8.0322 alpha=90.00 beta=90.00 gamma=90.00
Space group F-43m (No. 216)
Symmetry-distinct sites (fractional):
K1 0.0000 0.0000 0.0000 [4 per cell]
V1 0.2500 0.2500 0.2500 [4 per cell]
Bi1 0.0000 0.0000 0.5000 [4 per cell]
W1 0.2500 0.2500 0.7500 [4 per cell]
O1 0.0069 0.2500 0.7500 [24 per cell]

---

[4]
Starting from a structure optimized by DFT (GGA+U), the X-ray diffraction stick pattern of LiVF3 was simulated for Cu Kα (λ = 1.5418 Å).
No peak broadening, texture or thermal motion is included.

Main lines, sorted by position (2θ from 10° to 80°):
d = 4.367 Å, 20.3 deg, I 72, hkl 1 1 0
d = 3.566 Å, 25.0 deg, I 68, hkl 1 1 1
d = 2.762 Å, 32.4 deg, I 100, hkl 2 1 0
d = 2.521 Å, 35.6 deg, I 28, hkl 2 1 1
d = 1.953 Å, 46.5 deg, I 79, hkl 3 0 1
d = 1.862 Å, 48.9 deg, I 12, hkl 3 1 1
d = 1.783 Å, 51.2 deg, I 12, hkl 2 2 2
d = 1.713 Å, 53.5 deg, I 26, hkl 3 2 0
d = 1.651 Å, 55.7 deg, I 72, hkl 3 1 2
d = 1.498 Å, 62.0 deg, I 12, hkl 4 1 0

Cell and atoms:
Unit cell a=6.1758 b=6.1758 c=6.1758 alpha=90.00 beta=90.00 gamma=90.00
Space group P2_13 (No. 198)
Symmetry-distinct sites (fractional):
Li1 0.0861 0.0861 0.0861 [4 per cell]
V1 0.1507 0.6507 0.8493 [4 per cell]
F1 0.0154 0.2566 0.3706 [12 per cell]

---

[5]
Starting from a structure optimized by DFT (GGA+U), the X-ray diffraction stick pattern of ErBiW2O9 was simulated for Cu Kα (λ = 1.5418 Å).
No peak broadening, texture or thermal motion is included.

Main lines, sorted by position (2θ from 10° to 80°):
d = 3.332 Å, 26.8 deg, I 71, hkl 0 1 4
d = 3.176 Å, 28.1 deg, I 100, hkl 1 1 1
d = 2.874 Å, 31.1 deg, I 28, hkl 0 2 0
d = 2.511 Å, 35.8 deg, I 19, hkl 1 0 5
d = 1.958 Å, 46.4 deg, I 15, hkl 2 0 0
d = 1.891 Å, 48.1 deg, I 30, hkl 1 2 5
d = 1.735 Å, 52.8 deg, I 12, hkl 0 3 4
d = 1.712 Å, 53.5 deg, I 14, hkl 1 3 1
d = 1.688 Å, 54.3 deg, I 20, hkl 2 1 4
d = 1.618 Å, 56.9 deg, I 11, hkl 2 2 0

Cell and atoms:
Unit cell a=3.9163 b=5.7488 c=16.3564 alpha=90.00 beta=90.00 gamma=90.00
Space group Pmmn (No. 59, origin choice 2)
Symmetry-distinct sites (fractional):
Er1 0.2500 0.2500 0.1656 [2 per cell]
Bi1 0.2500 0.7500 0.5533 [2 per cell]
W1 0.2500 0.2500 0.9132 [2 per cell]
W2 0.2500 0.7500 0.3400 [2 per cell]
O1 0.2500 0.9998 0.2713 [4 per cell]
O2 0.2500 0.2500 0.0236 [2 per cell]
O3 0.2500 0.2500 0.6466 [2 per cell]
O4 0.2500 0.5198 0.4412 [4 per cell]
O5 0.2500 0.5309 0.8574 [4 per cell]
O6 0.2500 0.7500 0.0953 [2 per cell]

---

[6]
Starting from a structure optimized by DFT (GGA+U), the X-ray diffraction stick pattern of Ca3MnNiO6 was simulated for Cu Kα (λ = 1.5418 Å).
No peak broadening, texture or thermal motion is included.

Main lines, sorted by position (2θ from 10° to 80°):
d = 4.614 Å, 19.2 deg, I 60, hkl 1 1 0
d = 2.817 Å, 31.8 deg, I 40, hkl 1 1 3
d = 2.664 Å, 33.6 deg, I 100, hkl 3 0 0
d = 2.218 Å, 40.7 deg, I 29, hkl 0 2 4
d = 2.170 Å, 41.6 deg, I 16, hkl 1 3 1
d = 1.999 Å, 45.4 deg, I 51, hkl 2 1 4
d = 1.935 Å, 46.9 deg, I 47, hkl 2 2 3
d = 1.538 Å, 60.2 deg, I 18, hkl 3 3 0
d = 1.511 Å, 61.4 deg, I 26, hkl 3 2 4
d = 1.332 Å, 70.7 deg, I 16, hkl 6 0 0

Cell and atoms:
Unit cell a=9.2277 b=9.2277 c=10.6678 alpha=90.00 beta=90.00 gamma=120.00
Space group R-3c (No. 167, hexagonal axes)
Symmetry-distinct sites (fractional):
Ca1 0.0000 0.3608 0.2500 [18 per cell]
Mn1 0.0000 0.0000 0.0000 [6 per cell]
Ni1 0.0000 0.0000 0.2500 [6 per cell]
O1 0.0301 0.1804 0.3912 [36 per cell]